Record 1
Diffraction record for Y2Ag2Au. The powder XRD pattern is simulated, not measured: it uses a GGA-PBE-relaxed structure and copper Kα.
Neutral-atom scattering factors, no anomalous dispersion.

Peak list (10 most intense, 5° ≤ 2θ ≤ 70°, sorted by position)
2θ (°)  I (rel.)
20.88  30.2
28.37  48.9
35.20  100.0
35.49  61.1
44.30  15.0
46.69  14.9
48.15  32.2
61.22  24.8
64.96  25.6
66.13  15.2

Structure:
```
data_Y2Ag2Au
_chemical_formula_sum 'Y4 Ag4 Au2'
_symmetry_space_group_name_H-M 'I 4/m m m'
_symmetry_Int_Tables_number 139
_symmetry_space_group_name_Hall '-I 4 2'
_cell_length_a 3.7798
_cell_length_b 3.7798
_cell_length_c 17.0205
_cell_angle_alpha 90.00
_cell_angle_beta 90.00
_cell_angle_gamma 90.00
loop_
_atom_site_label
_atom_site_fract_x
_atom_site_fract_y
_atom_site_fract_z
_atom_site_occupancy
Y1 0.0000 0.0000 0.0998 1
Ag1 0.0000 0.5000 0.2500 1
Au1 0.0000 0.0000 0.5000 1
```



Record 2
Diffraction record for Pm2Zn4Pd3. The powder XRD pattern is simulated, not measured: it uses a GGA-PBE-relaxed structure and copper Kα.
Neutral-atom scattering factors, no anomalous dispersion.

Peak list (10 most intense, 5° ≤ 2θ ≤ 70°, sorted by position)
2θ (°)  I (rel.)
13.31  29.3
33.01  22.9
33.52  22.9
38.23  31.3
38.75  100.0
38.88  33.8
40.67  57.5
43.02  30.3
62.83  31.3
69.19  30.7

Structure:
```
data_Pm2Zn4Pd3
_chemical_formula_sum 'Pm8 Zn16 Pd12'
_symmetry_space_group_name_H-M 'F m m m'
_symmetry_Int_Tables_number 69
_symmetry_space_group_name_Hall '-F 2 2'
_cell_length_a 5.4269
_cell_length_b 9.4711
_cell_length_c 13.3023
_cell_angle_alpha 90.00
_cell_angle_beta 90.00
_cell_angle_gamma 90.00
loop_
_atom_site_label
_atom_site_fract_x
_atom_site_fract_y
_atom_site_fract_z
_atom_site_occupancy
Pm1 0.0000 0.0000 0.1282 1
Zn1 0.0000 0.1661 0.3350 1
Pd1 0.0000 0.0000 0.5000 1
Pd2 0.2500 0.2500 0.0000 1
```



Record 3
Diffraction record for KTiAg2S4. The powder XRD pattern is simulated, not measured: it uses a GGA-PBE-relaxed structure and copper Kα.
Neutral-atom scattering factors, no anomalous dispersion.

Peak list (10 most intense, 5° ≤ 2θ ≤ 70°, sorted by position)
2θ (°)  I (rel.)
16.61  36.4
18.55  27.3
25.44  20.1
27.23  18.1
28.57  100.0
35.05  24.5
37.61  50.7
44.10  26.4
46.83  25.0
48.96  21.3

Structure:
```
data_KTiAg2S4
_chemical_formula_sum 'K2 Ti2 Ag4 S8'
_symmetry_space_group_name_H-M 'I 2 2 2'
_symmetry_Int_Tables_number 23
_cell_length_a 6.5509
_cell_length_b 7.0012
_cell_length_c 8.2514
_cell_angle_alpha 90.00
_cell_angle_beta 90.00
_cell_angle_gamma 90.00
loop_
_symmetry_equiv_pos_as_xyz
'x,y,z'
'-x,-y,z'
'x,-y,-z'
'-x,y,-z'
'x+1/2,y+1/2,z+1/2'
'-x+1/2,-y+1/2,z+1/2'
'x+1/2,-y+1/2,-z+1/2'
'-x+1/2,y+1/2,-z+1/2'
loop_
_atom_site_label
_atom_site_fract_x
_atom_site_fract_y
_atom_site_fract_z
_atom_site_occupancy
K1 0.0000 0.0000 0.0000 1
Ti1 0.0000 0.0000 0.5000 1
Ag1 0.0000 0.5000 0.1877 1
S1 0.1919 0.1977 0.3407 1
```



Record 4
Diffraction record for Na3SnPd3O8. The powder XRD pattern is simulated, not measured: it uses a GGA-PBE-relaxed structure and copper Kα.
Neutral-atom scattering factors, no anomalous dispersion.

Peak list (10 most intense, 5° ≤ 2θ ≤ 70°, sorted by position)
2θ (°)  I (rel.)
15.88  100.0
31.08  13.3
32.07  17.7
33.65  23.3
34.02  27.4
34.37  13.5
35.79  27.7
40.57  42.7
53.64  15.3
56.72  13.9

Structure:
```
data_Na3SnPd3O8
_chemical_formula_sum 'Na6 Sn2 Pd6 O16'
_symmetry_space_group_name_H-M 'C 1 2/m 1'
_symmetry_Int_Tables_number 12
_cell_length_a 11.5225
_cell_length_b 6.1934
_cell_length_c 6.4089
_cell_angle_alpha 90.00
_cell_angle_beta 119.43
_cell_angle_gamma 90.00
loop_
_symmetry_equiv_pos_as_xyz
'x,y,z'
'-x,-y,-z'
'-x,y,-z'
'x,-y,z'
'x+1/2,y+1/2,z'
'-x+1/2,-y+1/2,-z'
'-x+1/2,y+1/2,-z'
'x+1/2,-y+1/2,z'
loop_
_atom_site_label
_atom_site_fract_x
_atom_site_fract_y
_atom_site_fract_z
_atom_site_occupancy
Na1 0.0000 0.0000 0.0000 1
Na2 0.2500 0.2500 0.0000 1
Sn1 0.0000 0.0000 0.5000 1
Pd1 0.0000 0.5000 0.5000 1
Pd2 0.2500 0.2500 0.5000 1
O1 0.0358 0.2579 0.3225 1
O2 0.2129 0.0000 0.7002 1
O3 0.2231 0.0000 0.2703 1
```



Record 5
Diffraction record for Mn5H. The powder XRD pattern is simulated, not measured: it uses a GGA-PBE-relaxed structure and copper Kα.
Neutral-atom scattering factors, no anomalous dispersion.

Peak list (10 most intense, 5° ≤ 2θ ≤ 70°, sorted by position)
2θ (°)  I (rel.)
22.04  5.1
23.23  7.2
25.74  9.5
32.23  8.1
34.95  11.8
41.01  2.9
47.48  51.1
47.66  100.0
69.40  14.6
69.97  6.8

Structure:
```
data_Mn5H
_chemical_formula_sum 'Mn10 H2'
_symmetry_space_group_name_H-M 'C m m m'
_symmetry_Int_Tables_number 65
_symmetry_space_group_name_Hall '-C 2 2'
_cell_length_a 3.8308
_cell_length_b 8.0671
_cell_length_c 3.8293
_cell_angle_alpha 90.00
_cell_angle_beta 90.00
_cell_angle_gamma 90.00
loop_
_atom_site_label
_atom_site_fract_x
_atom_site_fract_y
_atom_site_fract_z
_atom_site_occupancy
Mn1 0.0000 0.0000 0.0000 1
Mn2 0.0000 0.1654 0.5000 1
Mn3 0.0000 0.3413 0.0000 1
H1 0.0000 0.5000 0.5000 1
```